Simulated XRD peak list
Compound: VCdSeO6
Radiation: CuKα
Structure: a crystal structure in Alexandria, relaxed with GGA+U
Kinematic intensities with the Lorentz-polarization factor, no thermal factor.

Atomic structure:
```
data_VCdSeO6
_chemical_formula_sum 'V2 Cd2 Se2 O12'
_cell_length_a 5.0436
_cell_length_b 5.0436
_cell_length_c 9.7535
_cell_angle_alpha 90.00
_cell_angle_beta 90.00
_cell_angle_gamma 120.00
_symmetry_space_group_name_H-M 'P 1'
_symmetry_Int_Tables_number 1
_symmetry_space_group_name_Hall 'P 1'
loop_
_atom_site_label
_atom_site_type_symbol
_atom_site_fract_x
_atom_site_fract_y
_atom_site_fract_z
V1 V 0.3333 0.6667 0.2500
V2 V 0.6667 0.3333 0.7500
Cd1 Cd 0.0000 0.0000 0.0000
Cd2 Cd 0.0000 0.0000 0.5000
Se1 Se 0.3333 0.6667 0.7500
Se2 Se 0.6667 0.3333 0.2500
O1 O 0.0178 0.3879 0.6432
O2 O 0.0178 0.6298 0.8568
O3 O 0.3702 0.3879 0.8568
O4 O 0.3702 0.9822 0.6432
O5 O 0.3879 0.0178 0.1432
O6 O 0.3879 0.3702 0.3568
O7 O 0.6121 0.6298 0.6432
O8 O 0.6121 0.9822 0.8568
O9 O 0.6298 0.0178 0.3568
O10 O 0.6298 0.6121 0.1432
O11 O 0.9822 0.3702 0.1432
O12 O 0.9822 0.6121 0.3568
```

Most intense lines, 2θ from 10° to 90°, sorted by position:
hkl 1 0 2, 2θ = 27.41°, intensity 100
hkl 1 1 0, 2θ = 35.60°, intensity 29
hkl 2 0 2, 2θ = 45.51°, intensity 21
hkl 1 1 4, 2θ = 52.18°, intensity 38
hkl 2 1 2, 2θ = 59.08°, intensity 21
hkl 1 0 6, 2θ = 60.80°, intensity 9
hkl 3 0 0, 2θ = 63.94°, intensity 12
hkl 4 -1 2, 2θ = 81.95°, intensity 9